1.
Diffraction record for BiPd3Au2. The X-ray powder pattern is simulated, not measured: it uses a PBE-relaxed structure and Cu Kα (weighted mean of Kα1 and Kα2).

Main lines, sorted by position (2θ from 15° to 90°):
| two_theta | I (rel.) |
| --- | --- |
| 27.00 | 11 |
| 38.55 | 100 |
| 47.69 | 3 |
| 50.44 | 1 |
| 55.66 | 17 |
| 62.93 | 4 |
| 69.75 | 35 |
| 82.63 | 11 |
| 88.87 | 1 |
| 88.94 | 1 |

Structural model:
abc: 4.669 4.669 5.726
angles: 90.00 90.00 120.00
Element x y z (fractional)
Bi: 0.000 0.000 0.000
Pd: 0.000 0.000 0.500
Pd: 0.333 0.667 0.162
Pd: 0.667 0.333 0.838
Au: 0.333 0.667 0.650
Au: 0.667 0.333 0.350

=====

2.
Diffraction record for Bi2Pd8Au. The X-ray powder pattern is simulated, not measured: it uses a PBE-relaxed structure and Cu Kα (weighted mean of Kα1 and Kα2).

Main lines, sorted by position (2θ from 15° to 90°):
| two_theta | I (rel.) |
| --- | --- |
| 23.84 | 9 |
| 28.86 | 10 |
| 36.85 | 16 |
| 39.30 | 100 |
| 40.22 | 9 |
| 40.48 | 34 |
| 42.05 | 18 |
| 59.79 | 13 |
| 72.84 | 16 |
| 79.57 | 9 |

Structural model:
abc: 7.628 7.628 7.628
angles: 146.03 64.63 126.80
Element x y z (fractional)
Bi: 0.151 0.000 0.151
Bi: 0.849 0.000 0.849
Pd: 0.135 0.790 0.345
Pd: 0.286 0.286 0.000
Pd: 0.413 0.561 0.852
Pd: 0.446 0.790 0.655
Pd: 0.583 0.277 0.306
Pd: 0.709 0.561 0.148
Pd: 0.971 0.277 0.694
Pd: 0.997 0.497 0.500
Au: 0.578 0.078 0.500